Entry 1:
Na2GePCO7: computed powder XRD pattern (Cu Ka), based on DFT lattice parameters and positions (GGA-PBE).

Structure:
a = 5.3054 Å, b = 6.5996 Å, c = 9.0930 Å
α = 90.00°, β = 92.35°, γ = 90.00°
Sites, in units of the cell vectors:
Na: 0.2380 0.0051 0.2301
Na: 0.2380 0.4949 0.2301
Na: 0.7620 0.5051 0.7699
Na: 0.7620 0.9949 0.7699
Ge: 0.2091 0.2500 0.6483
Ge: 0.7909 0.7500 0.3517
P: 0.2884 0.7500 0.5808
P: 0.7116 0.2500 0.4192
C: 0.2753 0.2500 0.9252
C: 0.7247 0.7500 0.0748
O: 0.0552 0.2500 0.8492
O: 0.1729 0.7500 0.4190
O: 0.1920 0.5625 0.6670
O: 0.1920 0.9375 0.6670
O: 0.2906 0.2500 0.0632
O: 0.4198 0.2500 0.4231
O: 0.4709 0.2500 0.8407
O: 0.5291 0.7500 0.1593
O: 0.5802 0.7500 0.5769
O: 0.7094 0.7500 0.9368
O: 0.8080 0.0625 0.3330
O: 0.8080 0.4375 0.3330
O: 0.8271 0.2500 0.5810
O: 0.9448 0.7500 0.1508

Peak list (6 most intense, 10 to 80 degrees two-theta, by intensity)
Position (°2θ)  I/Imax
16.6  100
26.4  86
27.0  76
33.8  63
21.5  58
33.3  47

---

Entry 2:
BeZn13: computed powder XRD pattern (Cu Ka), based on DFT lattice parameters and positions (GGA-PBE).

Structure:
a = 8.6253 Å, b = 8.6253 Å, c = 8.6253 Å
α = 60.00°, β = 60.00°, γ = 60.00°
Sites, in units of the cell vectors:
Be: 0.2500 0.2500 0.2500
Be: 0.7500 0.7500 0.7500
Zn: 0.0000 0.0000 0.0000
Zn: 0.0613 0.3020 0.6980
Zn: 0.0613 0.6980 0.9387
Zn: 0.0613 0.9387 0.3020
Zn: 0.1980 0.4387 0.8020
Zn: 0.1980 0.5613 0.4387
Zn: 0.1980 0.8020 0.5613
Zn: 0.3020 0.0613 0.9387
Zn: 0.3020 0.6980 0.0613
Zn: 0.3020 0.9387 0.6980
Zn: 0.4387 0.1980 0.5613
Zn: 0.4387 0.5613 0.8020
Zn: 0.4387 0.8020 0.1980
Zn: 0.5000 0.5000 0.5000
Zn: 0.5613 0.1980 0.8020
Zn: 0.5613 0.4387 0.1980
Zn: 0.5613 0.8020 0.4387
Zn: 0.6980 0.0613 0.3020
Zn: 0.6980 0.3020 0.9387
Zn: 0.6980 0.9387 0.0613
Zn: 0.8020 0.1980 0.4387
Zn: 0.8020 0.4387 0.5613
Zn: 0.8020 0.5613 0.1980
Zn: 0.9387 0.0613 0.6980
Zn: 0.9387 0.3020 0.0613
Zn: 0.9387 0.6980 0.3020

Peak list (6 most intense, 10 to 80 degrees two-theta, by intensity)
Position (°2θ)  I/Imax
43.9  100
44.6  51
14.5  45
36.1  37
70.3  16
20.6  13

---

Entry 3:
Tl2Mo9S11: computed powder XRD pattern (Cu Ka), based on DFT lattice parameters and positions (GGA-PBE).

Structure:
a = 13.0515 Å, b = 13.0515 Å, c = 13.0515 Å
α = 42.25°, β = 42.25°, γ = 42.25°
Sites, in units of the cell vectors:
Tl: 0.1678 0.1678 0.1678
Tl: 0.2701 0.2701 0.2701
Tl: 0.7299 0.7299 0.7299
Tl: 0.8322 0.8322 0.8322
Mo: 0.0467 0.1941 0.8578
Mo: 0.1422 0.9533 0.8059
Mo: 0.1941 0.8578 0.0467
Mo: 0.2475 0.5762 0.3891
Mo: 0.2984 0.4800 0.6296
Mo: 0.3704 0.7016 0.5200
Mo: 0.3891 0.2475 0.5762
Mo: 0.4238 0.6109 0.7525
Mo: 0.4800 0.6296 0.2984
Mo: 0.5200 0.3704 0.7016
Mo: 0.5762 0.3891 0.2475
Mo: 0.6109 0.7525 0.4238
Mo: 0.6296 0.2984 0.4800
Mo: 0.7016 0.5200 0.3704
Mo: 0.7525 0.4238 0.6109
Mo: 0.8059 0.1422 0.9533
Mo: 0.8578 0.0467 0.1941
Mo: 0.9533 0.8059 0.1422
S: 0.0028 0.2578 0.6596
S: 0.0844 0.0844 0.0844
S: 0.0973 0.4369 0.6992
S: 0.1726 0.7818 0.4489
S: 0.2182 0.5511 0.8274
S: 0.2578 0.6596 0.0028
S: 0.3008 0.9027 0.5631
S: 0.3404 0.9972 0.7422
S: 0.3528 0.3528 0.3528
S: 0.4369 0.6992 0.0973
S: 0.4489 0.1726 0.7818
S: 0.5511 0.8274 0.2182
S: 0.5631 0.3008 0.9027
S: 0.6472 0.6472 0.6472
S: 0.6596 0.0028 0.2578
S: 0.6992 0.0973 0.4369
S: 0.7422 0.3404 0.9972
S: 0.7818 0.4489 0.1726
S: 0.8274 0.2182 0.5511
S: 0.9027 0.5631 0.3008
S: 0.9156 0.9156 0.9156
S: 0.9972 0.7422 0.3404

Peak list (6 most intense, 10 to 80 degrees two-theta, by intensity)
Position (°2θ)  I/Imax
29.5  100
18.9  77
44.8  62
22.4  56
40.2  45
11.9  35